(1)
For ZnNiP4O12, a PBE+U-relaxed structure gives the computed PXRD pattern in this record (Cu Kα (weighted mean of Kα1 and Kα2)).
Kinematic intensities with the Lorentz-polarization factor, no thermal factor.

Main lines, low angle first (10 to 90 degrees two-theta):
14.28°, intensity 53; 20.70°, intensity 41; 24.99°, intensity 18; 26.17°, intensity 34; 27.78°, intensity 31; 29.45°, intensity 100; 30.93°, intensity 23; 34.38°, intensity 27; 37.38°, intensity 28; 42.67°, intensity 22

abc: 7.260 7.260 10.017
angles: 112.91 112.91 70.36
Atoms (fractional coordinates):
Zn 0.050 0.950 0.750
Zn 0.950 0.050 0.250
Ni 0.000 0.500 0.500
Ni 0.500 0.000 0.000
P 0.254 0.728 0.022
P 0.272 0.746 0.478
P 0.296 0.313 0.803
P 0.313 0.296 0.303
P 0.687 0.704 0.697
P 0.704 0.687 0.197
P 0.728 0.254 0.522
P 0.746 0.272 0.978
O 0.089 0.847 0.094
O 0.122 0.287 0.326
O 0.153 0.911 0.406
O 0.191 0.706 0.582
O 0.192 0.342 0.651
O 0.211 0.502 0.932
O 0.287 0.122 0.826
O 0.294 0.809 0.918
O 0.318 0.533 0.348
O 0.342 0.192 0.151
O 0.467 0.682 0.152
O 0.498 0.789 0.568
O 0.502 0.211 0.432
O 0.533 0.318 0.848
O 0.658 0.808 0.849
O 0.682 0.467 0.652
O 0.706 0.191 0.082
O 0.713 0.878 0.174
O 0.789 0.498 0.068
O 0.808 0.658 0.349
O 0.809 0.294 0.418
O 0.847 0.089 0.594
O 0.878 0.713 0.674
O 0.911 0.153 0.906



(2)
For ZnNi3P4O14, a PBE+U-relaxed structure gives the computed PXRD pattern in this record (Cu Kα (weighted mean of Kα1 and Kα2)).
Kinematic intensities with the Lorentz-polarization factor, no thermal factor.

Main lines, low angle first (10 to 90 degrees two-theta):
20.25°, intensity 50; 27.33°, intensity 47; 29.24°, intensity 83; 30.73°, intensity 87; 30.92°, intensity 98; 34.29°, intensity 100; 35.99°, intensity 41; 37.44°, intensity 52; 50.15°, intensity 41; 53.08°, intensity 41

abc: 7.237 7.494 9.484
angles: 90.00 112.39 90.00
Atoms (fractional coordinates):
Zn 0.000 0.000 0.000
Zn 0.000 0.500 0.500
Ni 0.314 0.128 0.478
Ni 0.314 0.372 0.978
Ni 0.500 0.000 0.000
Ni 0.500 0.500 0.500
Ni 0.686 0.628 0.022
Ni 0.686 0.872 0.522
P 0.088 0.076 0.704
P 0.088 0.424 0.204
P 0.368 0.708 0.187
P 0.368 0.792 0.687
P 0.632 0.208 0.313
P 0.632 0.292 0.813
P 0.912 0.576 0.796
P 0.912 0.924 0.296
O 0.119 0.209 0.592
O 0.119 0.291 0.092
O 0.122 0.533 0.809
O 0.122 0.967 0.309
O 0.163 0.616 0.171
O 0.163 0.884 0.671
O 0.221 0.122 0.873
O 0.221 0.378 0.373
O 0.304 0.615 0.599
O 0.304 0.885 0.099
O 0.468 0.584 0.109
O 0.468 0.916 0.609
O 0.484 0.716 0.360
O 0.484 0.784 0.860
O 0.516 0.216 0.140
O 0.516 0.284 0.640
O 0.532 0.084 0.391
O 0.532 0.416 0.891
O 0.696 0.115 0.901
O 0.696 0.385 0.401
O 0.779 0.622 0.627
O 0.779 0.878 0.127
O 0.837 0.116 0.329
O 0.837 0.384 0.829
O 0.878 0.033 0.691
O 0.878 0.467 0.191
O 0.881 0.709 0.908
O 0.881 0.791 0.408



(3)
For NiPbO3, a PBE+U-relaxed structure gives the computed PXRD pattern in this record (Cu Kα (weighted mean of Kα1 and Kα2)).
Kinematic intensities with the Lorentz-polarization factor, no thermal factor.

Main lines, low angle first (10 to 90 degrees two-theta):
22.54°, intensity 83; 31.28°, intensity 100; 32.88°, intensity 92; 40.24°, intensity 22; 46.02°, intensity 40; 50.74°, intensity 44; 52.90°, intensity 18; 57.71°, intensity 39; 58.71°, intensity 26; 77.66°, intensity 15

abc: 5.733 5.733 5.733
angles: 56.73 56.73 56.73
Atoms (fractional coordinates):
Ni 0.000 0.000 0.000
Ni 0.500 0.500 0.500
Pb 0.212 0.212 0.212
Pb 0.712 0.712 0.712
O 0.125 0.788 0.381
O 0.288 0.625 0.881
O 0.381 0.125 0.788
O 0.625 0.881 0.288
O 0.788 0.381 0.125
O 0.881 0.288 0.625